Record 1
The following is a simulated X-ray powder pattern of Sm6InTe3Se2. It was derived from the PBE geometry in Alexandria, using Cu Kα (weighted mean of Kα1 and Kα2).

Structure:
```
data_Sm6InTe3Se2
_symmetry_space_group_name_H-M 'C 1 2/m 1'
_symmetry_Int_Tables_number 12
_symmetry_space_group_name_Hall '-C 2y'
_cell_length_a 19.1802
_cell_length_b 4.2705
_cell_length_c 8.9115
_cell_angle_alpha 90.00
_cell_angle_beta 104.69
_cell_angle_gamma 90.00
loop_
_atom_site_label
_atom_site_type_symbol
_atom_site_fract_x
_atom_site_fract_y
_atom_site_fract_z
Sm1 Sm 0.0065 0.0000 0.2501
Sm2 Sm 0.1652 0.5000 0.0996
Sm3 Sm 0.1732 0.5000 0.5671
In1 In 0.0000 0.5000 0.0000
Te1 Te 0.0000 0.5000 0.5000
Te2 Te 0.1657 0.0000 0.8298
Se1 Se 0.1681 0.0000 0.3340
```

Main lines, in order of rising 2θ (2θ from 15° to 90°):
2θ/deg  I (rel.)
28.9  50
29.0  100
40.5  19
41.0  37
41.7  37
42.3  18
49.9  9
51.1  10
52.0  19
60.0  12

=====

Record 2
The following is a simulated X-ray powder pattern of Pr6ZnHg2. It was derived from the PBE geometry in Alexandria, using Cu Kα (weighted mean of Kα1 and Kα2).

Structure:
```
data_Pr6ZnHg2
_symmetry_space_group_name_H-M 'P 1 21/c 1'
_symmetry_Int_Tables_number 14
_symmetry_space_group_name_Hall '-P 2ybc'
_cell_length_a 6.6155
_cell_length_b 8.5971
_cell_length_c 11.4143
_cell_angle_alpha 90.00
_cell_angle_beta 118.83
_cell_angle_gamma 90.00
loop_
_atom_site_label
_atom_site_type_symbol
_atom_site_fract_x
_atom_site_fract_y
_atom_site_fract_z
Pr1 Pr 0.0790 0.0607 0.2315
Pr2 Pr 0.1831 0.7095 0.0660
Pr3 Pr 0.4008 0.1587 0.0452
Zn1 Zn 0.5000 0.0000 0.5000
Hg1 Hg 0.3248 0.1097 0.7325
```

Main lines, in order of rising 2θ (2θ from 15° to 90°):
2θ/deg  I (rel.)
27.4  57
29.7  63
30.5  52
31.3  100
31.5  78
32.6  50
33.1  59
34.1  95
34.9  58
35.9  68

=====

Record 3
The following is a simulated X-ray powder pattern of LaHo2Sn2Hg2. It was derived from the PBE geometry in Alexandria, using Cu Kα (weighted mean of Kα1 and Kα2).

Structure:
```
data_LaHo2Sn2Hg2
_symmetry_space_group_name_H-M 'R -3 m'
_symmetry_Int_Tables_number 166
_symmetry_space_group_name_Hall '-R 3 2"'
_cell_length_a 5.0233
_cell_length_b 5.0233
_cell_length_c 26.9041
_cell_angle_alpha 90.00
_cell_angle_beta 90.00
_cell_angle_gamma 120.00
loop_
_atom_site_label
_atom_site_type_symbol
_atom_site_fract_x
_atom_site_fract_y
_atom_site_fract_z
La1 La 0.0000 0.0000 0.0000
Ho1 Ho 0.0000 0.0000 0.1323
Sn1 Sn 0.0000 0.0000 0.2655
Hg1 Hg 0.0000 0.0000 0.4352
```

Main lines, in order of rising 2θ (2θ from 15° to 90°):
2θ/deg  I (rel.)
31.0  100
35.7  91
47.3  12
48.1  30
52.0  10
58.9  11
61.3  29
64.2  17
75.7  11
84.1  13

=====

Record 4
The following is a simulated X-ray powder pattern of Zn2Cu10Sb4S13. It was derived from the PBE geometry in Alexandria, using Cu Kα (weighted mean of Kα1 and Kα2).

Structure:
```
data_Zn2Cu10Sb4S13
_symmetry_space_group_name_H-M 'I -4 2 m'
_symmetry_Int_Tables_number 121
_symmetry_space_group_name_Hall 'I -4 2'
_cell_length_a 10.4253
_cell_length_b 10.4253
_cell_length_c 10.5273
_cell_angle_alpha 90.00
_cell_angle_beta 90.00
_cell_angle_gamma 90.00
loop_
_atom_site_label
_atom_site_type_symbol
_atom_site_fract_x
_atom_site_fract_y
_atom_site_fract_z
Zn1 Zn 0.0000 0.0000 0.2290
Cu1 Cu 0.0000 0.2224 0.0000
Cu2 Cu 0.0000 0.2561 0.5000
Cu3 Cu 0.0000 0.5000 0.2500
Sb1 Sb 0.2296 0.2296 0.2371
S1 S 0.0000 0.0000 0.0000
S2 S 0.1130 0.3642 0.8843
S3 S 0.1194 0.1194 0.6289
```

Main lines, in order of rising 2θ (2θ from 15° to 90°):
2θ/deg  I (rel.)
24.0  5
29.6  100
34.1  9
34.4  15
36.5  6
49.2  35
49.5  16
58.2  12
58.7  19
79.8  7

=====

Record 5
The following is a simulated X-ray powder pattern of SnSb12Ru4. It was derived from the PBE geometry in Alexandria, using Cu Kα (weighted mean of Kα1 and Kα2).

Structure:
```
data_SnSb12Ru4
_symmetry_space_group_name_H-M 'I m -3'
_symmetry_Int_Tables_number 204
_symmetry_space_group_name_Hall '-I 2 2 3'
_cell_length_a 9.4094
_cell_length_b 9.4094
_cell_length_c 9.4094
_cell_angle_alpha 90.00
_cell_angle_beta 90.00
_cell_angle_gamma 90.00
loop_
_atom_site_label
_atom_site_type_symbol
_atom_site_fract_x
_atom_site_fract_y
_atom_site_fract_z
Sn1 Sn 0.0000 0.0000 0.0000
Sb1 Sb 0.0000 0.3377 0.1571
Ru1 Ru 0.2500 0.2500 0.2500
```

Main lines, in order of rising 2θ (2θ from 15° to 90°):
2θ/deg  I (rel.)
30.0  100
35.7  46
43.0  25
47.3  32
49.4  27
57.1  15
67.5  18
77.2  9
88.1  16
89.6  10

=====

Record 6
The following is a simulated X-ray powder pattern of PuAl6. It was derived from the PBE geometry in Alexandria, using Cu Kα (weighted mean of Kα1 and Kα2).

Structure:
```
data_PuAl6
_symmetry_space_group_name_H-M 'P 4/n b m'
_symmetry_Int_Tables_number 125
_cell_length_a 5.8297
_cell_length_b 5.8297
_cell_length_c 7.9846
_cell_angle_alpha 90.00
_cell_angle_beta 90.00
_cell_angle_gamma 90.00
loop_
_symmetry_equiv_pos_as_xyz
'x,y,z'
'-x,-y,-z'
'-y+1/2,x,z'
'y+1/2,-x,-z'
'-x+1/2,-y+1/2,z'
'x+1/2,y+1/2,-z'
'y,-x+1/2,z'
'-y,x+1/2,-z'
'x,-y+1/2,-z'
'-x,y+1/2,z'
'-y+1/2,-x+1/2,-z'
'y+1/2,x+1/2,z'
'-x+1/2,y,-z'
'x+1/2,-y,z'
'y,x,-z'
'-y,-x,z'
loop_
_atom_site_label
_atom_site_type_symbol
_atom_site_fract_x
_atom_site_fract_y
_atom_site_fract_z
Pu1 Pu 0.2500 0.7500 0.0000
Al1 Al 0.0733 0.5733 0.3542
Al2 Al 0.2500 0.2500 0.1571
```

Main lines, in order of rising 2θ (2θ from 15° to 90°):
2θ/deg  I (rel.)
21.6  60
24.3  81
30.7  31
31.2  76
32.7  100
38.2  38
40.3  58
50.8  56
54.9  37
69.4  28

=====

Record 7
The following is a simulated X-ray powder pattern of CsHg3F7. It was derived from the PBE geometry in Alexandria, using Cu Kα (weighted mean of Kα1 and Kα2).

Structure:
```
data_CsHg3F7
_symmetry_space_group_name_H-M 'C 1 2/m 1'
_symmetry_Int_Tables_number 12
_symmetry_space_group_name_Hall '-C 2y'
_cell_length_a 7.8609
_cell_length_b 8.6874
_cell_length_c 6.2442
_cell_angle_alpha 90.00
_cell_angle_beta 109.16
_cell_angle_gamma 90.00
loop_
_atom_site_label
_atom_site_type_symbol
_atom_site_fract_x
_atom_site_fract_y
_atom_site_fract_z
Cs1 Cs 0.0000 0.0000 0.0000
Hg1 Hg 0.0000 0.2672 0.5000
Hg2 Hg 0.0000 0.5000 0.0000
F1 F 0.0000 0.0000 0.5000
F2 F 0.1229 0.5000 0.7288
F3 F 0.1575 0.2928 0.2547
```

Main lines, in order of rising 2θ (2θ from 15° to 90°):
2θ/deg  I (rel.)
24.0  62
25.5  100
30.3  26
31.5  43
32.0  36
38.7  45
41.6  18
48.6  31
49.4  22
51.0  34

=====

Record 8
The following is a simulated X-ray powder pattern of KTmMn2Cl8. It was derived from the PBE geometry in Alexandria, using Cu Kα (weighted mean of Kα1 and Kα2).

Structure:
```
data_KTmMn2Cl8
_symmetry_space_group_name_H-M 'R 3 2'
_symmetry_Int_Tables_number 155
_symmetry_space_group_name_Hall 'R 3 2"'
_cell_length_a 6.3939
_cell_length_b 6.3939
_cell_length_c 30.9198
_cell_angle_alpha 90.00
_cell_angle_beta 90.00
_cell_angle_gamma 120.00
loop_
_atom_site_label
_atom_site_type_symbol
_atom_site_fract_x
_atom_site_fract_y
_atom_site_fract_z
K1 K 0.0000 0.0000 0.0000
Tm1 Tm 0.0000 0.0000 0.5000
Mn1 Mn 0.0000 0.0000 0.2467
Cl1 Cl 0.0000 0.0000 0.3201
Cl2 Cl 0.0105 0.3575 0.2214
```

Main lines, in order of rising 2θ (2θ from 15° to 90°):
2θ/deg  I (rel.)
16.3  46
19.7  100
21.5  29
27.9  55
28.2  27
33.0  31
34.4  28
38.4  28
45.2  43
49.4  31

=====

Record 9
The following is a simulated X-ray powder pattern of K5Zr2Se6. It was derived from the PBE geometry in Alexandria, using Cu Kα (weighted mean of Kα1 and Kα2).

Structure:
```
data_K5Zr2Se6
_symmetry_space_group_name_H-M 'C 1 2/c 1'
_symmetry_Int_Tables_number 15
_symmetry_space_group_name_Hall '-C 2yc'
_cell_length_a 13.5237
_cell_length_b 8.4579
_cell_length_c 17.5029
_cell_angle_alpha 90.00
_cell_angle_beta 102.35
_cell_angle_gamma 90.00
loop_
_atom_site_label
_atom_site_type_symbol
_atom_site_fract_x
_atom_site_fract_y
_atom_site_fract_z
K1 K 0.0000 0.1578 0.2500
K2 K 0.0468 0.2381 0.0003
K3 K 0.1590 0.3739 0.7303
Zr1 Zr 0.2266 0.3768 0.4280
Se1 Se 0.0506 0.4780 0.3718
Se2 Se 0.1395 0.0240 0.6427
Se3 Se 0.2175 0.0652 0.4215
```

Main lines, in order of rising 2θ (2θ from 15° to 90°):
2θ/deg  I (rel.)
15.2  55
21.0  70
24.3  67
25.1  74
26.8  59
29.7  100
32.7  46
33.9  48
35.3  52
40.0  70

=====

Record 10
The following is a simulated X-ray powder pattern of CaTl6Si2O7. It was derived from the PBE geometry in Alexandria, using Cu Kα (weighted mean of Kα1 and Kα2).

Structure:
```
data_CaTl6Si2O7
_symmetry_space_group_name_H-M 'P 1'
_symmetry_Int_Tables_number 1
_symmetry_space_group_name_Hall 'P 1'
_cell_length_a 4.7304
_cell_length_b 9.7241
_cell_length_c 10.0429
_cell_angle_alpha 65.59
_cell_angle_beta 87.14
_cell_angle_gamma 88.23
loop_
_atom_site_label
_atom_site_type_symbol
_atom_site_fract_x
_atom_site_fract_y
_atom_site_fract_z
Ca1 Ca 0.0000 0.0000 0.0000
Tl1 Tl 0.0672 0.2842 0.2649
Tl2 Tl 0.0865 0.3667 0.8514
Tl3 Tl 0.1008 0.8731 0.3535
Tl4 Tl 0.4707 0.0365 0.6400
Tl5 Tl 0.4883 0.6072 0.0199
Tl6 Tl 0.5389 0.6605 0.6420
Si1 Si 0.5407 0.1512 0.1203
Si2 Si 0.9690 0.7866 0.7610
O1 O 0.0370 0.8943 0.8454
O2 O 0.1172 0.6164 0.8508
O3 O 0.1353 0.8650 0.5956
O4 O 0.4191 0.0794 0.2935
O5 O 0.4284 0.3297 0.0380
O6 O 0.4688 0.0459 0.0318
O7 O 0.8916 0.1517 0.1197
```

Main lines, in order of rising 2θ (2θ from 15° to 90°):
2θ/deg  I (rel.)
21.4  69
26.6  73
27.5  63
27.7  100
27.8  83
29.3  36
32.1  51
33.2  48
33.5  45
38.1  38

=====

Record 11
The following is a simulated X-ray powder pattern of Nd5Te4Br. It was derived from the PBE geometry in Alexandria, using Cu Kα (weighted mean of Kα1 and Kα2).

Structure:
```
data_Nd5Te4Br
_symmetry_space_group_name_H-M 'R -3 m'
_symmetry_Int_Tables_number 166
_symmetry_space_group_name_Hall '-R 3 2"'
_cell_length_a 4.5133
_cell_length_b 4.5133
_cell_length_c 53.2090
_cell_angle_alpha 90.00
_cell_angle_beta 90.00
_cell_angle_gamma 120.00
loop_
_atom_site_label
_atom_site_type_symbol
_atom_site_fract_x
_atom_site_fract_y
_atom_site_fract_z
Nd1 Nd 0.0000 0.0000 0.0000
Nd2 Nd 0.0000 0.0000 0.1975
Nd3 Nd 0.0000 0.0000 0.4020
Te1 Te 0.0000 0.0000 0.1029
Te2 Te 0.0000 0.0000 0.2990
Br1 Br 0.0000 0.0000 0.5000
```

Main lines, in order of rising 2θ (2θ from 15° to 90°):
2θ/deg  I (rel.)
28.3  100
40.0  40
41.0  35
49.7  21
51.5  6
58.6  12
65.6  18
67.1  15
72.6  7
73.3  12

=====

Record 12
The following is a simulated X-ray powder pattern of HBr2Cl8. It was derived from the PBE geometry in Alexandria, using Cu Kα (weighted mean of Kα1 and Kα2).

Structure:
```
data_HBr2Cl8
_symmetry_space_group_name_H-M 'P -1'
_symmetry_Int_Tables_number 2
_symmetry_space_group_name_Hall '-P 1'
_cell_length_a 8.1815
_cell_length_b 8.6815
_cell_length_c 8.6858
_cell_angle_alpha 113.31
_cell_angle_beta 113.62
_cell_angle_gamma 92.11
loop_
_atom_site_label
_atom_site_type_symbol
_atom_site_fract_x
_atom_site_fract_y
_atom_site_fract_z
H1 H 0.0000 0.0000 0.0000
Br1 Br 0.1134 0.7603 0.6898
Cl1 Cl 0.0235 0.4342 0.8875
Cl2 Cl 0.1001 0.2320 0.5592
Cl3 Cl 0.3670 0.7259 0.0206
Cl4 Cl 0.4054 0.0774 0.8416
```

Main lines, in order of rising 2θ (2θ from 15° to 90°):
2θ/deg  I (rel.)
19.0  88
22.3  31
22.9  36
23.8  71
24.1  27
26.0  46
30.6  100
31.9  60
42.9  24
43.0  27